(1)
Diffraction record for NbTlB2O6. The X-ray diffraction stick pattern is computed, not measured: it uses the GGA-PBE geometry in the Materials Project and Cu Kα, 1.54184 Å.
Neutral-atom scattering factors, no anomalous dispersion.

```
data_NbTlB2O6
_chemical_formula_sum 'Nb4 Tl4 B8 O24'
_symmetry_space_group_name_H-M 'P n a 21'
_symmetry_Int_Tables_number 33
_symmetry_space_group_name_Hall 'P 2c -2n'
_cell_length_a 8.0227
_cell_length_b 7.4986
_cell_length_c 9.5860
_cell_angle_alpha 90.00
_cell_angle_beta 90.00
_cell_angle_gamma 90.00
loop_
_atom_site_label
_atom_site_type_symbol
_atom_site_fract_x
_atom_site_fract_y
_atom_site_fract_z
Nb1 Nb 0.1619 0.2408 0.0000
Tl1 Tl 0.0032 0.7407 0.8862
B1 B 0.2139 0.5812 0.2132
B2 B 0.2379 0.4099 0.7106
O1 O 0.0599 0.8059 0.4994
O2 O 0.1518 0.4418 0.1365
O3 O 0.1599 0.4142 0.8371
O4 O 0.2142 0.7491 0.1472
O5 O 0.2277 0.0640 0.1422
O6 O 0.2317 0.0593 0.8470
```

The 10 most intense peaks (2θ = 10–80°), low angle first:
5.906 Å, I 38.2, hkl 0 1 1; 4.793 Å, I 40.9, hkl 0 0 2; 3.749 Å, I 43.9, hkl 0 2 0; 3.318 Å, I 100.0, hkl 2 1 1; 3.076 Å, I 36.1, hkl 2 0 2; 2.953 Å, I 38.6, hkl 0 2 2; 2.940 Å, I 49.7, hkl 0 1 3; 2.378 Å, I 31.3, hkl 2 2 2; 2.371 Å, I 23.6, hkl 2 1 3; 1.899 Å, I 22.2, hkl 4 1 1

(2)
Diffraction record for Nb2B2Os. The X-ray diffraction stick pattern is computed, not measured: it uses the GGA-PBE geometry in the Materials Project and Cu Kα, 1.54184 Å.
Neutral-atom scattering factors, no anomalous dispersion.

```
data_Nb2B2Os
_chemical_formula_sum 'Nb8 B8 Os4'
_symmetry_space_group_name_H-M 'P 4/m n c'
_symmetry_Int_Tables_number 128
_symmetry_space_group_name_Hall '-P 4 2n'
_cell_length_a 5.9295
_cell_length_b 5.9295
_cell_length_c 6.8976
_cell_angle_alpha 90.00
_cell_angle_beta 90.00
_cell_angle_gamma 90.00
loop_
_atom_site_label
_atom_site_type_symbol
_atom_site_fract_x
_atom_site_fract_y
_atom_site_fract_z
Nb1 Nb 0.1643 0.3144 0.0000
B1 B 0.1131 0.6131 0.2500
Os1 Os 0.0000 0.0000 0.2790
```

The 10 most intense peaks (2θ = 10–80°), low angle first:
4.193 Å, I 56.4, hkl 1 1 0; 2.664 Å, I 80.7, hkl 1 1 2; 2.652 Å, I 30.9, hkl 2 1 0; 2.248 Å, I 100.0, hkl 2 0 2; 2.102 Å, I 41.9, hkl 2 1 2; 2.096 Å, I 30.6, hkl 2 2 0; 1.875 Å, I 53.1, hkl 3 1 0; 1.327 Å, I 21.1, hkl 4 2 0; 1.295 Å, I 24.8, hkl 3 3 2; 1.269 Å, I 20.0, hkl 3 1 4

(3)
Diffraction record for Nb3Re3B4. The X-ray diffraction stick pattern is computed, not measured: it uses the GGA-PBE geometry in the Materials Project and Cu Kα, 1.54184 Å.
Neutral-atom scattering factors, no anomalous dispersion.

```
data_Nb3Re3B4
_chemical_formula_sum 'Nb6 Re6 B8'
_symmetry_space_group_name_H-M 'A m m 2'
_symmetry_Int_Tables_number 38
_symmetry_space_group_name_Hall 'A 2 -2'
_cell_length_a 3.1127
_cell_length_b 8.1778
_cell_length_c 9.6302
_cell_angle_alpha 90.00
_cell_angle_beta 90.00
_cell_angle_gamma 90.00
loop_
_atom_site_label
_atom_site_type_symbol
_atom_site_fract_x
_atom_site_fract_y
_atom_site_fract_z
Nb1 Nb 0.0000 0.0000 0.0000
Nb2 Nb 0.5000 0.2051 0.4458
Re1 Re 0.0000 0.0000 0.2941
Re2 Re 0.0000 0.1735 0.7076
B1 B 0.5000 0.0000 0.6183
B2 B 0.5000 0.0000 0.8100
B3 B 0.5000 0.1218 0.1655
```

The 10 most intense peaks (2θ = 10–80°), low angle first:
4.815 Å, I 39.4, hkl 0 0 2; 3.113 Å, I 46.6, hkl 1 0 0; 2.988 Å, I 42.3, hkl 0 1 3; 2.623 Å, I 85.7, hkl 0 3 1; 2.614 Å, I 90.6, hkl 1 0 2; 2.408 Å, I 31.8, hkl 0 0 4; 2.202 Å, I 58.3, hkl 1 2 2; 2.156 Å, I 54.7, hkl 1 1 3; 2.076 Å, I 81.1, hkl 0 2 4; 2.006 Å, I 100.0, hkl 1 3 1

(4)
Diffraction record for NbBRh3. The X-ray diffraction stick pattern is computed, not measured: it uses the GGA-PBE geometry in the Materials Project and Cu Kα, 1.54184 Å.
Neutral-atom scattering factors, no anomalous dispersion.

```
data_NbBRh3
_chemical_formula_sum 'Nb1 B1 Rh3'
_symmetry_space_group_name_H-M 'P m -3 m'
_symmetry_Int_Tables_number 221
_symmetry_space_group_name_Hall '-P 4 2 3'
_cell_length_a 4.1126
_cell_length_b 4.1126
_cell_length_c 4.1126
_cell_angle_alpha 90.00
_cell_angle_beta 90.00
_cell_angle_gamma 90.00
loop_
_atom_site_label
_atom_site_type_symbol
_atom_site_fract_x
_atom_site_fract_y
_atom_site_fract_z
Nb1 Nb 0.0000 0.0000 0.0000
B1 B 0.5000 0.5000 0.5000
Rh1 Rh 0.0000 0.5000 0.5000
```

The 5 most intense peaks (2θ = 10–80°), low angle first:
4.113 Å, I 0.8, hkl 1 0 0; 2.374 Å, I 100.0, hkl 1 1 1; 2.056 Å, I 52.4, hkl 2 0 0; 1.454 Å, I 33.4, hkl 2 2 0; 1.240 Å, I 36.4, hkl 3 1 1

(5)
Diffraction record for Nb5Si3B. The X-ray diffraction stick pattern is computed, not measured: it uses the GGA-PBE geometry in the Materials Project and Cu Kα, 1.54184 Å.
Neutral-atom scattering factors, no anomalous dispersion.

```
data_Nb5Si3B
_chemical_formula_sum 'Nb10 Si6 B2'
_symmetry_space_group_name_H-M 'P 63/m c m'
_symmetry_Int_Tables_number 193
_symmetry_space_group_name_Hall '-P 6c 2'
_cell_length_a 7.6733
_cell_length_b 7.6733
_cell_length_c 5.3100
_cell_angle_alpha 90.00
_cell_angle_beta 90.00
_cell_angle_gamma 120.00
loop_
_atom_site_label
_atom_site_type_symbol
_atom_site_fract_x
_atom_site_fract_y
_atom_site_fract_z
Nb1 Nb 0.0000 0.2471 0.2500
Nb2 Nb 0.3333 0.6667 0.0000
Si1 Si 0.0000 0.4013 0.7500
B1 B 0.0000 0.0000 0.0000
```

The 10 most intense peaks (2θ = 10–80°), low angle first:
3.323 Å, I 24.2, hkl 2 0 0; 3.110 Å, I 36.2, hkl 1 1 1; 2.512 Å, I 46.3, hkl 2 1 0; 2.466 Å, I 33.8, hkl 1 0 2; 2.270 Å, I 100.0, hkl 2 1 1; 2.215 Å, I 46.5, hkl 3 0 0; 2.183 Å, I 88.6, hkl 1 1 2; 1.555 Å, I 24.4, hkl 2 2 2; 1.447 Å, I 23.1, hkl 2 1 3; 1.408 Å, I 25.1, hkl 4 0 2

(6)
Diffraction record for TiNbB2. The X-ray diffraction stick pattern is computed, not measured: it uses the GGA-PBE geometry in the Materials Project and Cu Kα, 1.54184 Å.
Neutral-atom scattering factors, no anomalous dispersion.

```
data_TiNbB2
_chemical_formula_sum 'Ti2 Nb2 B4'
_symmetry_space_group_name_H-M 'A m m 2'
_symmetry_Int_Tables_number 38
_symmetry_space_group_name_Hall 'A 2 -2'
_cell_length_a 3.1059
_cell_length_b 3.3010
_cell_length_c 8.6771
_cell_angle_alpha 90.00
_cell_angle_beta 90.00
_cell_angle_gamma 90.00
loop_
_atom_site_label
_atom_site_type_symbol
_atom_site_fract_x
_atom_site_fract_y
_atom_site_fract_z
Ti1 Ti 0.0000 0.0000 0.0000
Nb1 Nb 0.5000 0.0000 0.7096
B1 B 0.0000 0.0000 0.2996
B2 B 0.5000 0.0000 0.4139
```

The 10 most intense peaks (2θ = 10–80°), low angle first:
4.339 Å, I 27.0, hkl 0 0 2; 3.085 Å, I 59.1, hkl 0 1 1; 2.525 Å, I 85.2, hkl 1 0 2; 2.189 Å, I 100.0, hkl 1 1 1; 2.175 Å, I 64.4, hkl 0 1 3; 2.169 Å, I 25.6, hkl 0 0 4; 1.782 Å, I 23.5, hkl 1 1 3; 1.382 Å, I 24.1, hkl 1 2 2; 1.377 Å, I 23.1, hkl 1 1 5; 1.264 Å, I 28.5, hkl 2 1 3